# CsK2InSb2
Computed X-ray powder pattern, Cu Kα, 1.54184 Å. Input: a crystal structure in Alexandria, relaxed with GGA-PBE.
Peak positions follow from Bragg's law for the DFT cell and can differ from measured ones.

```
CsK2InSb2
1.0
5.2654 0.0000 0.0000
0.0000 9.8022 0.0000
0.0000 0.0000 9.1547
Cs K In Sb
2 4 2 4
Cartesian
0.0000 0.7694 0.0000 Cs
0.0000 9.0329 4.5773 Cs
0.0000 3.2114 3.0459 K
0.0000 6.5908 7.6233 K
2.6327 4.1168 9.1331 K
2.6327 5.6854 4.5557 K
2.6327 1.6346 5.8294 In
2.6327 8.1676 1.2521 In
0.0000 3.2806 6.4231 Sb
0.0000 6.5216 1.8458 Sb
2.6327 1.0823 2.7497 Sb
2.6327 8.7199 7.3270 Sb
```

Peak list (10 most intense, 2θ = 10–90°, most intense first)
index  two_theta  I (rel.)
1 2 1  26.7  100
1 1 2  27.4  80
0 1 3  30.7  42
2 0 0  34.1  42
1 3 0  32.2  37
2 1 3  46.5  25
1 4 3  50.9  25
0 1 1  13.2  21
1 1 1  21.5  20
1 1 3  35.2  18


# Sb3Pt
Computed X-ray powder pattern, Cu Kα, 1.54184 Å. Input: a crystal structure in Alexandria, relaxed with GGA-PBE.
Peak positions follow from Bragg's law for the DFT cell and can differ from measured ones.

```
Sb3Pt
1.0
6.7670 0.0000 0.0000
-3.3835 5.8604 0.0000
0.0000 0.0000 5.1327
Sb Pt
6 2
Cartesian
-1.0187 1.7645 0.0000 Sb
-2.3648 4.0959 2.5663 Sb
2.0375 0.0000 0.0000 Sb
1.0187 1.7645 2.5663 Sb
4.7295 0.0000 2.5663 Sb
2.3648 4.0959 0.0000 Sb
0.0000 3.9069 1.2832 Pt
3.3835 1.9535 3.8495 Pt
```

Peak list (10 most intense, 2θ = 10–90°, most intense first)
index  two_theta  I (rel.)
1 1 1  31.7  100
1 0 1  23.0  66
1 1 2  44.3  58
3 0 0  46.5  49
2 1 1  44.6  34
2 0 1  35.3  23
2 0 0  30.5  17
2 2 2  66.2  16
1 1 3  60.7  15
4 1 2  84.7  14